(1)
Starting from a DFT-relaxed cell (PBE+U, the Materials Project), the powder diffraction line list of LiMnPH2O5 was simulated for CuKα.
Lines closer than 0.1° are merged.

Crystal structure
```
data_LiMnPH2O5
_chemical_formula_sum 'Li4 Mn4 P4 H8 O20'
_cell_length_a 11.1871
_cell_length_b 8.2012
_cell_length_c 5.1575
_cell_angle_alpha 90.00
_cell_angle_beta 90.00
_cell_angle_gamma 90.00
_symmetry_space_group_name_H-M 'P n a 21'
_symmetry_Int_Tables_number 33
loop_
_symmetry_equiv_pos_as_xyz
'x,y,z'
'-x,-y,z+1/2'
'-x+1/2,y+1/2,z+1/2'
'x+1/2,-y+1/2,z'
loop_
_atom_site_label
_atom_site_fract_x
_atom_site_fract_y
_atom_site_fract_z
Li1 0.1156 0.1225 0.0000
Mn1 0.1960 0.3116 0.5063
P1 0.1643 0.9117 0.4961
H1 0.0097 0.5705 0.1782
H2 0.0404 0.6879 0.9486
O1 0.0111 0.4036 0.4970
O2 0.0485 0.8229 0.4320
O3 0.1679 0.0836 0.3625
O4 0.1802 0.9367 0.7961
O5 0.2230 0.3148 0.8990
```

The 8 most intense peaks (2θ = 5–70°), sorted by position:
two_theta, I/Imax, (hkl)
15.8, 82, 2 0 0
23.1, 100, 1 2 0
23.5, 87, 2 0 1
26.3, 33, 3 1 0
28.9, 58, 1 2 1
33.9, 24, 4 1 0
34.8, 44, 0 0 2
36.6, 27, 4 0 1

(2)
Starting from a DFT-relaxed cell (PBE+U, the Materials Project), the powder diffraction line list of Li4Co3O7 was simulated for CuKα.
Lines closer than 0.1° are merged.

Crystal structure
```
data_Li4Co3O7
_chemical_formula_sum 'Li8 Co6 O14'
_cell_length_a 2.9630
_cell_length_b 7.7748
_cell_length_c 11.2812
_cell_angle_alpha 80.21
_cell_angle_beta 82.99
_cell_angle_gamma 81.04
_symmetry_space_group_name_H-M 'P -1'
_symmetry_Int_Tables_number 2
loop_
_symmetry_equiv_pos_as_xyz
'x,y,z'
'-x,-y,-z'
loop_
_atom_site_label
_atom_site_fract_x
_atom_site_fract_y
_atom_site_fract_z
Li1 0.0000 0.0000 0.0000
Li2 0.0704 0.2152 0.6462
Li3 0.2143 0.6426 0.9334
Li4 0.3605 0.0707 0.2083
Li5 0.5000 0.5000 0.5000
Co1 0.1472 0.4298 0.2785
Co2 0.2890 0.8565 0.5758
Co3 0.4292 0.2724 0.8619
O1 0.0590 0.1182 0.8241
O2 0.0908 0.3190 0.4539
O3 0.2104 0.5440 0.1152
O4 0.2612 0.7420 0.7500
O5 0.3203 0.9760 0.3985
O6 0.3911 0.1933 0.0163
O7 0.4517 0.3913 0.6940
```

The 8 most intense peaks (2θ = 5–70°), sorted by position:
two_theta, I/Imax, (hkl)
18.3, 100, 0 1 2
35.2, 18, 1 -1 1
36.2, 15, 1 2 0
36.5, 12, 0 2 -3
42.3, 32, -1 2 1
43.9, 27, 1 3 2
44.4, 26, 0 1 -5
62.8, 16, 2 1 1